This entry pairs a crystal structure of MgInHg6Pb with its theoretical X-ray diffraction stick pattern. Radiation: Cu Kα (λ = 1.5418 Å). Structure: DFT lattice parameters and positions (PBE).
No peak broadening, texture or thermal motion is included.

Top 8 peaks for 10° ≤ 2θ ≤ 90°, sorted by position:
- hkl 2 1 1, 25.07°, I 18
- hkl 0 0 4, 27.33°, I 29
- hkl 2 2 0, 28.44°, I 100
- hkl 1 1 4, 30.88°, I 34
- hkl 0 2 4, 32.46°, I 23
- hkl 0 4 0, 34.74°, I 53
- hkl 2 2 4, 39.85°, I 67
- hkl 4 4 0, 58.84°, I 18

Structure:
Lattice parameters (Å, degrees): 7.9054 10.3288 13.0523 90.00 90.00 90.00
Space group Imma (No. 74)
One atom of each set of equivalent atoms:
Mg 0.0000 0.0000 0.0000 [4 per cell]
In 0.2500 0.2500 0.2500 [4 per cell]
Hg 0.0000 0.2500 0.4372 [4 per cell]
Hg 0.0000 0.2500 0.9102 [4 per cell]
Hg 0.2152 0.0073 0.6303 [16 per cell]
Pb 0.0000 0.2500 0.6718 [4 per cell]

This entry pairs a crystal structure of MgIn2Hg5Pb with its theoretical X-ray diffraction stick pattern. Radiation: Cu Kα (λ = 1.5418 Å). Structure: DFT lattice parameters and positions (PBE).
No peak broadening, texture or thermal motion is included.

Top 8 peaks for 10° ≤ 2θ ≤ 90°, sorted by position:
- hkl 0 6 2, 30.19°, I 23
- hkl 0 4 4, 30.54°, I 31
- hkl 1 1 3, 32.91°, I 100
- hkl 0 6 3, 33.18°, I 87
- hkl 1 5 0, 35.52°, I 48
- hkl 0 0 6, 36.76°, I 53
- hkl 1 5 6, 52.04°, I 21
- hkl 2 6 3, 66.01°, I 24

Structure:
Lattice parameters (Å, degrees): 3.3238 19.4272 14.6707 90.00 90.00 90.00
Space group Cmc2_1 (No. 36)
One atom of each set of equivalent atoms:
Mg 0.0000 0.2302 0.0000 [4 per cell]
In 0.0000 0.3660 0.6854 [4 per cell]
In 0.0000 0.3684 0.3167 [4 per cell]
Hg 0.0000 0.0333 0.6477 [4 per cell]
Hg 0.0000 0.0825 0.0061 [4 per cell]
Hg 0.0000 0.2087 0.6547 [4 per cell]
Hg 0.0000 0.2104 0.3466 [4 per cell]
Hg 0.0000 0.3855 0.0023 [4 per cell]
Pb 0.0000 0.0288 0.3440 [4 per cell]

This entry pairs a crystal structure of Mg2In2SnHg7 with its theoretical X-ray diffraction stick pattern. Radiation: Cu Kα (λ = 1.5418 Å). Structure: DFT lattice parameters and positions (PBE).
No peak broadening, texture or thermal motion is included.

Top 8 peaks for 10° ≤ 2θ ≤ 90°, sorted by position:
- hkl 0 2 0, 31.54°, I 100
- hkl 5 1 1, 36.16°, I 65
- hkl 7 1 -1, 37.21°, I 68
- hkl 2 2 -2, 45.20°, I 37
- hkl 3 1 3, 58.43°, I 13
- hkl 5 3 1, 59.24°, I 16
- hkl 7 3 -1, 59.97°, I 16
- hkl 9 1 -3, 60.62°, I 16

Structure:
Lattice parameters (Å, degrees): 19.2018 5.6683 5.6845 90.00 104.89 90.00
Space group Cm (No. 8)
One atom of each set of equivalent atoms:
Mg 0.0000 0.0000 0.0000 [2 per cell]
Mg 0.9998 0.5000 0.4408 [2 per cell]
In 0.0881 0.0000 0.5752 [2 per cell]
In 0.4117 0.0000 0.8660 [2 per cell]
Sn 0.2499 0.5000 0.2217 [2 per cell]
Hg 0.0735 0.5000 0.0146 [2 per cell]
Hg 0.1617 0.0000 0.1401 [2 per cell]
Hg 0.1616 0.5000 0.6150 [2 per cell]
Hg 0.2499 0.0000 0.7216 [2 per cell]
Hg 0.3380 0.0000 0.3021 [2 per cell]
Hg 0.3382 0.5000 0.8275 [2 per cell]
Hg 0.4262 0.5000 0.4268 [2 per cell]

This entry pairs a crystal structure of SrMg4In2Hg with its theoretical X-ray diffraction stick pattern. Radiation: Cu Kα (λ = 1.5418 Å). Structure: DFT lattice parameters and positions (PBE).
No peak broadening, texture or thermal motion is included.

Top 8 peaks for 10° ≤ 2θ ≤ 90°, sorted by position:
- hkl 1 0 4, 24.05°, I 100
- hkl 0 1 8, 33.23°, I 81
- hkl 1 1 0, 35.30°, I 84
- hkl 0 2 4, 43.17°, I 22
- hkl 2 0 8, 49.26°, I 26
- hkl 1 1 12, 54.12°, I 22
- hkl 2 1 4, 56.95°, I 19
- hkl 1 2 8, 62.05°, I 26

Structure:
Lattice parameters (Å, degrees): 5.0852 5.0852 27.2802 90.00 90.00 120.00
Space group R-3m (No. 166, hexagonal axes)
One atom of each set of equivalent atoms:
Sr 0.0000 0.0000 0.0000 [3 per cell]
Mg 0.0000 0.0000 0.1324 [6 per cell]
Mg 0.0000 0.0000 0.3967 [6 per cell]
In 0.0000 0.0000 0.2597 [6 per cell]
Hg 0.0000 0.0000 0.5000 [3 per cell]

This entry pairs a crystal structure of ThMg2InHg4 with its theoretical X-ray diffraction stick pattern. Radiation: Cu Kα (λ = 1.5418 Å). Structure: DFT lattice parameters and positions (PBE).
No peak broadening, texture or thermal motion is included.

Top 8 peaks for 10° ≤ 2θ ≤ 90°, sorted by position:
- hkl 0 1 2, 21.81°, I 29
- hkl 1 0 4, 24.47°, I 26
- hkl 0 1 8, 33.18°, I 100
- hkl 1 1 0, 36.52°, I 87
- hkl 1 0 10, 38.55°, I 22
- hkl 2 0 8, 50.17°, I 32
- hkl 1 2 8, 63.63°, I 31
- hkl 3 0 0, 65.74°, I 16

Structure:
Lattice parameters (Å, degrees): 4.9206 4.9206 27.9187 90.00 90.00 120.00
Space group R-3m (No. 166, hexagonal axes)
One atom of each set of equivalent atoms:
Th 0.0000 0.0000 0.0000 [3 per cell]
Mg 0.0000 0.0000 0.2474 [6 per cell]
In 0.0000 0.0000 0.5000 [3 per cell]
Hg 0.0000 0.0000 0.1209 [6 per cell]
Hg 0.0000 0.0000 0.3859 [6 per cell]

This entry pairs a crystal structure of Mg2ZnInHg8 with its theoretical X-ray diffraction stick pattern. Radiation: Cu Kα (λ = 1.5418 Å). Structure: DFT lattice parameters and positions (PBE).
No peak broadening, texture or thermal motion is included.

Top 8 peaks for 10° ≤ 2θ ≤ 90°, sorted by position:
- hkl 0 1 1, 19.20°, I 21
- hkl 1 1 1, 30.05°, I 20
- hkl 0 2 1, 34.29°, I 100
- hkl 1 1 2, 35.23°, I 50
- hkl 0 1 3, 35.48°, I 33
- hkl 0 2 2, 38.97°, I 19
- hkl 0 2 4, 54.39°, I 20
- hkl 2 2 0, 58.17°, I 26

Structure:
Lattice parameters (Å, degrees): 6.3435 6.3435 8.5503 90.00 90.00 120.00
Space group P-3m1 (No. 164)
One atom of each set of equivalent atoms:
Mg 0.3333 0.6667 0.4077 [2 per cell]
Zn 0.0000 0.0000 0.5000 [1 per cell]
In 0.0000 0.0000 0.0000 [1 per cell]
Hg 0.1755 0.3510 0.7223 [6 per cell]
Hg 0.3333 0.6667 0.0633 [2 per cell]

This entry pairs a crystal structure of Pr4InHgN with its theoretical X-ray diffraction stick pattern. Radiation: Cu Kα (λ = 1.5418 Å). Structure: DFT lattice parameters and positions (PBE).
No peak broadening, texture or thermal motion is included.

Top 8 peaks for 10° ≤ 2θ ≤ 90°, sorted by position:
- hkl 2 0 0, 24.64°, I 23
- hkl 2 2 0, 27.23°, I 62
- hkl 1 5 1, 33.80°, I 22
- hkl 2 4 0, 33.91°, I 100
- hkl 2 0 2, 35.13°, I 69
- hkl 2 6 2, 50.21°, I 25
- hkl 4 0 0, 50.53°, I 24
- hkl 4 4 2, 62.25°, I 38

Structure:
Lattice parameters (Å, degrees): 7.2250 15.5136 7.2249 90.00 90.00 90.00
Space group Cmcm (No. 63)
One atom of each set of equivalent atoms:
Pr 0.0000 0.0809 0.2500 [4 per cell]
Pr 0.0000 0.4135 0.2500 [4 per cell]
Pr 0.2500 0.2500 0.0000 [8 per cell]
In 0.0000 0.3809 0.7500 [4 per cell]
Hg 0.0000 0.1201 0.7500 [4 per cell]
N 0.0000 0.2500 0.2500 [4 per cell]

This entry pairs a crystal structure of Na2InHg3 with its theoretical X-ray diffraction stick pattern. Radiation: Cu Kα (λ = 1.5418 Å). Structure: DFT lattice parameters and positions (PBE).
No peak broadening, texture or thermal motion is included.

Top 8 peaks for 10° ≤ 2θ ≤ 90°, sorted by position:
- hkl 0 6 0, 18.33°, I 100
- hkl 0 2 2, 26.11°, I 94
- hkl 1 1 0, 27.66°, I 69
- hkl 1 5 1, 34.12°, I 82
- hkl 0 8 2, 35.57°, I 66
- hkl 0 12 0, 37.14°, I 35
- hkl 1 7 2, 43.80°, I 50
- hkl 1 3 3, 48.89°, I 40

Structure:
Lattice parameters (Å, degrees): 3.2453 29.0453 7.0231 90.00 90.00 90.00
Space group Cmcm (No. 63)
One atom of each set of equivalent atoms:
Na 0.0000 0.0087 0.2500 [4 per cell]
Na 0.0000 0.1596 0.7500 [4 per cell]
In 0.0000 0.3483 0.7500 [4 per cell]
Hg 0.0000 0.2478 0.2500 [4 per cell]
Hg 0.0000 0.4259 0.0343 [8 per cell]